No. 1
Bi2Te2Pd7: theoretical XRD peak list (Cu Kα (weighted mean of Kα1 and Kα2)), based on a DFT-relaxed cell (GGA-PBE, Alexandria).

Peak list (10 most intense, 2θ = 5–70°, most intense first)
42.2 deg, intensity 100; 37.0 deg, intensity 83; 39.6 deg, intensity 73; 37.8 deg, intensity 50; 32.8 deg, intensity 44; 26.2 deg, intensity 37; 27.4 deg, intensity 33; 50.3 deg, intensity 27; 37.7 deg, intensity 26; 34.8 deg, intensity 21

Structural model:
a b c (Å): 9.5632 9.7199 5.2181
angles (deg): 90.00 113.69 90.00
Space group C2/m (No. 12)
Asymmetric unit:
1 Bi 0.0000 0.2479 0.0000 [4 per cell]
2 Te 0.2334 0.5000 0.5383 [4 per cell]
3 Pd 0.0000 0.0000 0.5000 [2 per cell]
4 Pd 0.1643 0.5000 0.9978 [4 per cell]
5 Pd 0.1673 0.2474 0.6779 [8 per cell]

---

No. 2
AlNi7As2: theoretical XRD peak list (Cu Kα (weighted mean of Kα1 and Kα2)), based on a DFT-relaxed cell (GGA-PBE, Alexandria).

Peak list (10 most intense, 2θ = 5–70°, most intense first)
45.3 deg, intensity 100; 49.8 deg, intensity 39; 24.8 deg, intensity 17; 28.2 deg, intensity 13; 58.5 deg, intensity 10; 34.1 deg, intensity 10; 34.7 deg, intensity 6; 58.2 deg, intensity 5; 28.3 deg, intensity 4; 56.4 deg, intensity 3

Structural model:
a b c (Å): 3.6605 3.6605 18.9286
angles (deg): 90.00 90.00 90.00
Space group I4/mmm (No. 139)
Asymmetric unit:
1 Al 0.0000 0.0000 0.0000 [2 per cell]
2 Ni 0.0000 0.0000 0.5000 [2 per cell]
3 Ni 0.0000 0.5000 0.0918 [8 per cell]
4 Ni 0.0000 0.5000 0.2500 [4 per cell]
5 As 0.0000 0.0000 0.3304 [4 per cell]

---

No. 3
Sm6P3S2Br: theoretical XRD peak list (Cu Kα (weighted mean of Kα1 and Kα2)), based on a DFT-relaxed cell (GGA-PBE, Alexandria).

Peak list (10 most intense, 2θ = 5–70°, most intense first)
30.8 deg, intensity 100; 26.7 deg, intensity 47; 44.3 deg, intensity 24; 44.0 deg, intensity 23; 26.3 deg, intensity 15; 55.1 deg, intensity 13; 44.5 deg, intensity 12; 43.8 deg, intensity 12; 64.2 deg, intensity 11; 52.4 deg, intensity 9

Structural model:
a b c (Å): 17.9399 4.0758 8.2610
angles (deg): 90.00 103.94 90.00
Space group C2/m (No. 12)
Asymmetric unit:
1 Sm 0.0011 0.0000 0.2233 [4 per cell]
2 Sm 0.1653 0.5000 0.0886 [4 per cell]
3 Sm 0.1774 0.5000 0.5833 [4 per cell]
4 P 0.0000 0.5000 0.0000 [2 per cell]
5 P 0.1633 0.0000 0.3334 [4 per cell]
6 S 0.1660 0.0000 0.8308 [4 per cell]
7 Br 0.0000 0.5000 0.5000 [2 per cell]